For AcCr2SnO6, DFT lattice parameters and positions (GGA+U) gives the simulated powder diffraction line list in this record (Cu Kα (λ = 1.5418 Å)).
No peak broadening, texture or thermal motion is included.

Cell and atoms:
```
10
Lattice="3.962 -3.921 0.000 3.962 3.921 0.000 -3.948 0.000 3.961" Properties=species:S:1:pos:R:3 pbc="T T T"
Ac 0.000 0.000 0.000
Cr 2.011 1.956 1.975
Cr 2.011 -1.956 1.975
Sn 3.996 0.000 0.244
O -1.567 0.000 2.380
O 1.897 0.000 1.526
O 3.997 1.585 1.859
O 1.890 1.526 3.940
O 1.890 -1.526 3.940
O 3.997 -1.585 1.859
```

Principal peaks in the range 10° ≤ 2θ ≤ 90°, in order of rising 2θ:
| two_theta | Rel. int. |
| --- | --- |
| 22.4 | 27.3 |
| 31.9 | 22.6 |
| 32.0 | 24.2 |
| 32.1 | 100.0 |
| 39.5 | 29.9 |
| 45.8 | 27.4 |